CuH6CN2O3: theoretical powder diffraction line list (a wavelength of 1.5418 Å), based on a structure optimized by DFT (GGA-PBE).
Kinematic intensities with the Lorentz-polarization factor, no thermal factor.

Crystal structure
Cell: 5.8344 10.9620 7.6283 Å, 90.00 94.54 90.00°
Sites, in units of the cell vectors:
1 Cu 0.1394 0.0745 0.1896
2 Cu 0.1394 0.4255 0.6896
3 Cu 0.8606 0.5745 0.3104
4 Cu 0.8606 0.9255 0.8104
5 H 0.1488 0.6546 0.7553
6 H 0.1488 0.8454 0.2553
7 H 0.1962 0.0080 0.6287
8 H 0.1962 0.4920 0.1287
9 H 0.2514 0.0292 0.8400
10 H 0.2514 0.4708 0.3400
11 H 0.2925 0.6061 0.2576
12 H 0.2925 0.8939 0.7576
13 H 0.3596 0.6246 0.6245
14 H 0.3596 0.8754 0.1245
15 H 0.3911 0.5934 0.8364
16 H 0.3911 0.9066 0.3364
17 H 0.6089 0.0934 0.6636
18 H 0.6089 0.4066 0.1636
19 H 0.6404 0.1246 0.8755
20 H 0.6404 0.3754 0.3755
21 H 0.7075 0.1061 0.2424
22 H 0.7075 0.3939 0.7424
23 H 0.7486 0.5292 0.6600
24 H 0.7486 0.9708 0.1600
25 H 0.8038 0.5080 0.8713
26 H 0.8038 0.9920 0.3713
27 H 0.8512 0.1546 0.7447
28 H 0.8512 0.3454 0.2447
29 C 0.2646 0.2432 0.5406
30 C 0.2646 0.2568 0.0406
31 C 0.7354 0.7432 0.9594
32 C 0.7354 0.7568 0.4594
33 N 0.1831 0.5328 0.2491
34 N 0.1831 0.9672 0.7491
35 N 0.2738 0.5927 0.7283
36 N 0.2738 0.9073 0.2283
37 N 0.7262 0.0927 0.7717
38 N 0.7262 0.4073 0.2717
39 N 0.8169 0.0328 0.2509
40 N 0.8169 0.4672 0.7509
41 O 0.0709 0.2464 0.1166
42 O 0.0709 0.2536 0.6166
43 O 0.3313 0.1447 0.4749
44 O 0.3313 0.3553 0.9749
45 O 0.3833 0.1541 0.0424
46 O 0.3833 0.3459 0.5424
47 O 0.6167 0.6541 0.4576
48 O 0.6167 0.8459 0.9576
49 O 0.6687 0.6447 0.0251
50 O 0.6687 0.8553 0.5251
51 O 0.9291 0.7464 0.3834
52 O 0.9291 0.7536 0.8834

Most intense lines, 2θ from 15° to 90°, most intense first:
2theta, Rel. int., h k l
17.26, 100, 1 1 0
20.17, 81, 1 1 -1
29.06, 62, 1 0 2
19.97, 59, 0 2 1
28.57, 54, 0 2 2
15.23, 38, 1 0 0
24.79, 32, 0 1 2
38.55, 31, 1 4 1
34.82, 29, 0 4 1
25.78, 26, 1 2 1